This entry pairs a crystal structure of TbY5S6 with its calculated PXRD pattern. Radiation: Cu Kα. Structure: a structure optimized by DFT (GGA-PBE).
Lines closer than 0.1° are merged.

Most intense lines, 2θ = 10–80°, by angle:
- (1 3 -1), 2θ 27.83, I = 25
- (2 0 0), 2θ 27.93, I = 25
- (1 3 1), 2θ 32.30, I = 100
- (0 6 0), 2θ 46.28, I = 35
- (1 3 -3), 2θ 46.35, I = 23
- (2 0 2), 2θ 46.47, I = 12
- (2 6 0), 2θ 54.89, I = 14
- (2 6 -2), 2θ 57.50, I = 12
- (4 0 0), 2θ 57.71, I = 12
- (4 6 0), 2θ 76.93, I = 15

Crystal structure
a b c (Å): 6.788 11.784 6.781
angles (deg): 90.00 109.65 90.00
Space group C2/m (No. 12)
Inequivalent atoms, fractional coordinates:
Tb 0.000 0.000 0.000
Y 0.000 0.166 0.500
Y 0.000 0.333 0.000
Y 0.000 0.500 0.500
S 0.249 0.500 0.250
S 0.250 0.167 0.250